(1)
YMgCu3Se4: theoretical powder XRD pattern (Cu Kα X-rays), based on a crystal structure in Alexandria, relaxed with GGA-PBE.
Peak positions follow from Bragg's law for the DFT cell and can differ from measured ones.

Cell and atoms:
```
data_YMgCu3Se4
_cell_length_a 5.986
_cell_length_b 5.986
_cell_length_c 5.986
_cell_angle_alpha 90.00
_cell_angle_beta 90.00
_cell_angle_gamma 90.00
_symmetry_space_group_name_H-M 'P -4 3 m'
_symmetry_Int_Tables_number 215
_symmetry_space_group_name_Hall 'P -4 2 3'
loop_
_atom_site_label
_atom_site_type_symbol
_atom_site_fract_x
_atom_site_fract_y
_atom_site_fract_z
Y1 Y 0.000 0.000 0.000
Mg1 Mg 0.500 0.500 0.500
Cu1 Cu 0.000 0.000 0.500
Se1 Se 0.254 0.254 0.254
```

Top 10 peaks for 2θ from 15° to 90°, in order of rising 2θ:
d [Å], Position (°2θ), Rel. int.
3.456, 25.78, 78
2.677, 33.47, 20
2.117, 42.72, 100
1.995, 45.45, 9
1.805, 50.57, 35
1.497, 62.01, 16
1.452, 64.14, 6
1.373, 68.30, 14
1.222, 78.23, 31
1.152, 84.00, 11

(2)
Pm4Y2Tm3: theoretical powder XRD pattern (Cu Kα X-rays), based on a crystal structure in Alexandria, relaxed with GGA-PBE.
Peak positions follow from Bragg's law for the DFT cell and can differ from measured ones.

Cell and atoms:
```
data_Pm4Y2Tm3
_cell_length_a 9.791
_cell_length_b 16.935
_cell_length_c 7.033
_cell_angle_alpha 90.00
_cell_angle_beta 90.00
_cell_angle_gamma 90.00
_symmetry_space_group_name_H-M 'C c c m'
_symmetry_Int_Tables_number 66
_symmetry_space_group_name_Hall '-C 2 2c'
loop_
_atom_site_label
_atom_site_type_symbol
_atom_site_fract_x
_atom_site_fract_y
_atom_site_fract_z
Pm1 Pm 0.146 0.175 0.000
Pm2 Pm 0.165 0.482 0.000
Y1 Y 0.190 0.159 0.500
Tm1 Tm 0.000 0.000 0.250
Tm2 Tm 0.000 0.330 0.250
```

Top 10 peaks for 2θ from 15° to 90°, in order of rising 2θ:
d [Å], Position (°2θ), Rel. int.
2.915, 30.67, 12
2.855, 31.33, 100
2.825, 31.68, 91
2.008, 45.15, 34
1.758, 52.01, 8
1.637, 56.21, 32
1.631, 56.42, 14
1.493, 62.19, 26
1.266, 75.03, 12
1.196, 80.30, 10

(3)
NdAs3Rh3: theoretical powder XRD pattern (Cu Kα X-rays), based on a crystal structure in Alexandria, relaxed with GGA-PBE.
Peak positions follow from Bragg's law for the DFT cell and can differ from measured ones.

Cell and atoms:
```
data_NdAs3Rh3
_cell_length_a 6.702
_cell_length_b 6.702
_cell_length_c 6.702
_cell_angle_alpha 90.00
_cell_angle_beta 90.00
_cell_angle_gamma 90.00
_symmetry_space_group_name_H-M 'P m -3 n'
_symmetry_Int_Tables_number 223
_symmetry_space_group_name_Hall '-P 4n 2 3'
loop_
_atom_site_label
_atom_site_type_symbol
_atom_site_fract_x
_atom_site_fract_y
_atom_site_fract_z
Nd1 Nd 0.000 0.000 0.000
As1 As 0.000 0.250 0.500
Rh1 Rh 0.000 0.500 0.250
```

Top 10 peaks for 2θ from 15° to 90°, in order of rising 2θ:
d [Å], Position (°2θ), Rel. int.
3.351, 26.60, 43
2.736, 32.73, 100
1.935, 46.97, 18
1.791, 50.99, 57
1.675, 54.79, 25
1.499, 61.92, 16
1.429, 65.31, 13
1.224, 78.11, 16
1.185, 81.19, 16
1.117, 87.29, 8

(4)
ReRu4W: theoretical powder XRD pattern (Cu Kα X-rays), based on a crystal structure in Alexandria, relaxed with GGA-PBE.
Peak positions follow from Bragg's law for the DFT cell and can differ from measured ones.

Cell and atoms:
```
data_ReRu4W
_cell_length_a 2.763
_cell_length_b 4.381
_cell_length_c 7.280
_cell_angle_alpha 90.00
_cell_angle_beta 100.86
_cell_angle_gamma 90.00
_symmetry_space_group_name_H-M 'P 1 m 1'
_symmetry_Int_Tables_number 6
_symmetry_space_group_name_Hall 'P -2y'
loop_
_atom_site_label
_atom_site_type_symbol
_atom_site_fract_x
_atom_site_fract_y
_atom_site_fract_z
Re1 Re 0.000 0.000 0.000
Ru1 Ru 0.334 0.000 0.669
Ru2 Ru 0.550 0.500 0.104
Ru3 Ru 0.667 0.000 0.335
Ru4 Ru 0.887 0.500 0.779
W1 W 0.219 0.500 0.445
```

Top 10 peaks for 2θ from 15° to 90°, in order of rising 2θ:
d [Å], Position (°2θ), Rel. int.
3.735, 23.82, 11
2.390, 37.63, 23
2.383, 37.75, 13
2.190, 41.22, 37
2.098, 43.11, 100
2.093, 43.22, 48
1.615, 57.03, 14
1.377, 68.07, 17
1.246, 76.46, 27
1.166, 82.78, 20

(5)
ZrCdSb2O8: theoretical powder XRD pattern (Cu Kα X-rays), based on a crystal structure in Alexandria, relaxed with GGA-PBE.
Peak positions follow from Bragg's law for the DFT cell and can differ from measured ones.

Cell and atoms:
```
data_ZrCdSb2O8
_cell_length_a 6.874
_cell_length_b 7.134
_cell_length_c 6.413
_cell_angle_alpha 90.00
_cell_angle_beta 90.00
_cell_angle_gamma 90.00
_symmetry_space_group_name_H-M 'C m m m'
_symmetry_Int_Tables_number 65
_symmetry_space_group_name_Hall '-C 2 2'
loop_
_atom_site_label
_atom_site_type_symbol
_atom_site_fract_x
_atom_site_fract_y
_atom_site_fract_z
Zr1 Zr 0.000 0.000 0.000
Cd1 Cd 0.000 0.000 0.500
Sb1 Sb 0.000 0.500 0.251
O1 O 0.000 0.312 0.000
O2 O 0.000 0.322 0.500
O3 O 0.214 0.000 0.230
```

Top 10 peaks for 2θ from 15° to 90°, in order of rising 2θ:
d [Å], Position (°2θ), Rel. int.
3.567, 24.96, 72
3.437, 25.92, 61
2.691, 33.29, 100
2.475, 36.30, 29
1.840, 49.53, 47
1.804, 50.61, 38
1.783, 51.22, 11
1.718, 53.31, 11
1.548, 59.73, 11
1.467, 63.40, 25

(6)
CsNaZnTe2: theoretical powder XRD pattern (Cu Kα X-rays), based on a crystal structure in Alexandria, relaxed with GGA-PBE.
Peak positions follow from Bragg's law for the DFT cell and can differ from measured ones.

Cell and atoms:
```
data_CsNaZnTe2
_cell_length_a 7.212
_cell_length_b 16.112
_cell_length_c 6.890
_cell_angle_alpha 90.00
_cell_angle_beta 90.00
_cell_angle_gamma 90.00
_symmetry_space_group_name_H-M 'C m m e'
_symmetry_Int_Tables_number 67
_symmetry_space_group_name_Hall '-C 2a 2'
loop_
_atom_site_label
_atom_site_type_symbol
_atom_site_fract_x
_atom_site_fract_y
_atom_site_fract_z
Cs1 Cs 0.000 0.250 0.237
Na1 Na 0.250 0.000 0.500
Zn1 Zn 0.000 0.000 0.000
Te1 Te 0.000 0.115 0.759
```

Top 10 peaks for 2θ from 15° to 90°, in order of rising 2θ:
d [Å], Position (°2θ), Rel. int.
3.653, 24.37, 100
3.606, 24.69, 39
3.445, 25.86, 15
3.168, 28.17, 11
2.706, 33.11, 23
2.491, 36.06, 17
2.118, 42.69, 15
2.091, 43.28, 23
2.027, 44.72, 19
1.231, 77.58, 10

(7)
ZrVCo: theoretical powder XRD pattern (Cu Kα X-rays), based on a crystal structure in Alexandria, relaxed with GGA-PBE.
Peak positions follow from Bragg's law for the DFT cell and can differ from measured ones.

Cell and atoms:
```
data_ZrVCo
_cell_length_a 8.367
_cell_length_b 5.124
_cell_length_c 8.506
_cell_angle_alpha 90.00
_cell_angle_beta 90.00
_cell_angle_gamma 90.00
_symmetry_space_group_name_H-M 'A m m 2'
_symmetry_Int_Tables_number 38
_symmetry_space_group_name_Hall 'A 2 -2'
loop_
_atom_site_label
_atom_site_type_symbol
_atom_site_fract_x
_atom_site_fract_y
_atom_site_fract_z
Zr1 Zr 0.181 0.000 0.000
Zr2 Zr 0.302 0.000 0.664
V1 V 0.000 0.000 0.477
V2 V 0.500 0.000 0.158
V3 V 0.500 0.248 0.916
Co1 Co 0.000 0.245 0.735
Co2 Co 0.247 0.000 0.332
```

Top 10 peaks for 2θ from 15° to 90°, in order of rising 2θ:
d [Å], Position (°2θ), Rel. int.
2.562, 35.02, 25
2.481, 36.21, 54
2.354, 38.23, 81
2.332, 38.60, 45
2.185, 41.32, 60
2.134, 42.36, 100
2.123, 42.58, 77
2.061, 43.93, 25
1.381, 67.86, 23
1.331, 70.81, 29

(8)
Ca5Sn2N5: theoretical powder XRD pattern (Cu Kα X-rays), based on a crystal structure in Alexandria, relaxed with GGA-PBE.
Peak positions follow from Bragg's law for the DFT cell and can differ from measured ones.

Cell and atoms:
```
data_Ca5Sn2N5
_cell_length_a 11.700
_cell_length_b 3.393
_cell_length_c 11.300
_cell_angle_alpha 90.00
_cell_angle_beta 115.59
_cell_angle_gamma 90.00
_symmetry_space_group_name_H-M 'C 1 m 1'
_symmetry_Int_Tables_number 8
_symmetry_space_group_name_Hall 'C -2y'
loop_
_atom_site_label
_atom_site_type_symbol
_atom_site_fract_x
_atom_site_fract_y
_atom_site_fract_z
Ca1 Ca 0.000 0.000 0.000
Ca2 Ca 0.051 0.500 0.267
Ca3 Ca 0.110 0.500 0.568
Ca4 Ca 0.281 0.500 0.141
Ca5 Ca 0.397 0.500 0.690
Sn1 Sn 0.213 0.000 0.866
Sn2 Sn 0.326 0.000 0.402
N1 N 0.091 0.500 0.864
N2 N 0.170 0.000 0.207
N3 N 0.253 0.000 0.703
N4 N 0.378 0.000 0.045
N5 N 0.456 0.500 0.373
```

Top 10 peaks for 2θ from 15° to 90°, in order of rising 2θ:
d [Å], Position (°2θ), Rel. int.
5.096, 17.40, 52
4.862, 18.25, 46
2.908, 30.75, 100
2.873, 31.14, 90
2.820, 31.72, 97
2.578, 34.80, 72
2.515, 35.70, 92
2.420, 37.16, 81
2.344, 38.41, 68
2.228, 40.49, 51

(9)
CsSbPHPt: theoretical powder XRD pattern (Cu Kα X-rays), based on a crystal structure in Alexandria, relaxed with GGA-PBE.
Peak positions follow from Bragg's law for the DFT cell and can differ from measured ones.

Cell and atoms:
```
data_CsSbPHPt
_cell_length_a 4.075
_cell_length_b 5.148
_cell_length_c 6.727
_cell_angle_alpha 73.81
_cell_angle_beta 88.81
_cell_angle_gamma 88.33
_symmetry_space_group_name_H-M 'P 1'
_symmetry_Int_Tables_number 1
_symmetry_space_group_name_Hall 'P 1'
loop_
_atom_site_label
_atom_site_type_symbol
_atom_site_fract_x
_atom_site_fract_y
_atom_site_fract_z
Cs1 Cs 0.000 0.000 0.000
Sb1 Sb 0.524 0.305 0.421
P1 P 0.529 0.786 0.631
H1 H 0.276 0.826 0.451
Pt1 Pt 0.000 0.560 0.543
```

Top 10 peaks for 2θ from 15° to 90°, in order of rising 2θ:
d [Å], Position (°2θ), Rel. int.
4.591, 19.34, 59
4.073, 21.82, 23
3.485, 25.56, 100
3.230, 27.62, 58
3.097, 28.82, 70
2.999, 29.79, 60
2.516, 35.69, 38
2.136, 42.31, 35
2.090, 43.28, 27
2.036, 44.49, 27

(10)
Li2NpZnF8: theoretical powder XRD pattern (Cu Kα X-rays), based on a crystal structure in Alexandria, relaxed with GGA-PBE.
Peak positions follow from Bragg's law for the DFT cell and can differ from measured ones.

Cell and atoms:
```
data_Li2NpZnF8
_cell_length_a 4.759
_cell_length_b 6.896
_cell_length_c 4.770
_cell_angle_alpha 90.00
_cell_angle_beta 90.67
_cell_angle_gamma 90.00
_symmetry_space_group_name_H-M 'P 1 2/m 1'
_symmetry_Int_Tables_number 10
_symmetry_space_group_name_Hall '-P 2y'
loop_
_atom_site_label
_atom_site_type_symbol
_atom_site_fract_x
_atom_site_fract_y
_atom_site_fract_z
Li1 Li 0.000 0.197 0.000
Np1 Np 0.500 0.500 0.500
Zn1 Zn 0.500 0.000 0.500
F1 F 0.187 0.500 0.808
F2 F 0.212 0.000 0.786
F3 F 0.296 0.248 0.293
```

Top 10 peaks for 2θ from 15° to 90°, in order of rising 2θ:
d [Å], Position (°2θ), Rel. int.
4.764, 18.62, 100
3.920, 22.68, 36
3.448, 25.84, 24
3.389, 26.30, 29
3.349, 26.62, 27
2.793, 32.04, 45
2.402, 37.43, 41
2.141, 42.21, 21
1.819, 50.16, 22
1.806, 50.53, 21

(11)
NdEr2Sc5: theoretical powder XRD pattern (Cu Kα X-rays), based on a crystal structure in Alexandria, relaxed with GGA-PBE.
Peak positions follow from Bragg's law for the DFT cell and can differ from measured ones.

Cell and atoms:
```
data_NdEr2Sc5
_cell_length_a 6.805
_cell_length_b 6.805
_cell_length_c 9.332
_cell_angle_alpha 90.00
_cell_angle_beta 90.00
_cell_angle_gamma 90.00
_symmetry_space_group_name_H-M 'I 4 m m'
_symmetry_Int_Tables_number 107
_symmetry_space_group_name_Hall 'I 4 -2'
loop_
_atom_site_label
_atom_site_type_symbol
_atom_site_fract_x
_atom_site_fract_y
_atom_site_fract_z
Nd1 Nd 0.000 0.000 0.000
Er1 Er 0.000 0.500 0.499
Sc1 Sc 0.000 0.000 0.499
Sc2 Sc 0.250 0.250 0.250
```

Top 10 peaks for 2θ from 15° to 90°, in order of rising 2θ:
d [Å], Position (°2θ), Rel. int.
4.666, 19.02, 21
3.402, 26.19, 20
2.749, 32.57, 100
2.406, 37.38, 34
2.333, 38.59, 16
2.138, 42.26, 12
1.701, 53.89, 12
1.675, 54.81, 22
1.447, 64.41, 27
1.415, 66.05, 12

(12)
RbZnBiBr6: theoretical powder XRD pattern (Cu Kα X-rays), based on a crystal structure in Alexandria, relaxed with GGA-PBE.
Peak positions follow from Bragg's law for the DFT cell and can differ from measured ones.

Cell and atoms:
```
data_RbZnBiBr6
_cell_length_a 7.2319
_cell_length_b 7.2319
_cell_length_c 7.6631
_cell_angle_alpha 90.00
_cell_angle_beta 90.00
_cell_angle_gamma 120.00
_symmetry_space_group_name_H-M 'P 3 1 2'
_symmetry_Int_Tables_number 149
_symmetry_space_group_name_Hall 'P 3 2'
loop_
_atom_site_label
_atom_site_type_symbol
_atom_site_fract_x
_atom_site_fract_y
_atom_site_fract_z
Rb1 Rb 0.0000 0.0000 0.0000
Zn1 Zn 0.6667 0.3333 0.5000
Bi1 Bi 0.3333 0.6667 0.5000
Br1 Br 0.3846 0.0241 0.7068
```

Top 10 peaks for 2θ from 15° to 90°, in order of rising 2θ:
d [Å], Position (°2θ), Rel. int.
4.849, 18.29, 91
3.270, 27.27, 94
2.899, 30.85, 19
2.630, 34.09, 100
2.262, 39.86, 36
2.087, 43.35, 69
1.694, 54.16, 31
1.635, 56.26, 21
1.412, 66.20, 19
1.287, 73.59, 23

(13)
La3MnP5: theoretical powder XRD pattern (Cu Kα X-rays), based on a crystal structure in Alexandria, relaxed with GGA-PBE.
Peak positions follow from Bragg's law for the DFT cell and can differ from measured ones.

Cell and atoms:
```
data_La3MnP5
_cell_length_a 8.7305
_cell_length_b 8.7305
_cell_length_c 5.6794
_cell_angle_alpha 90.00
_cell_angle_beta 90.00
_cell_angle_gamma 120.00
_symmetry_space_group_name_H-M 'P 63/m c m'
_symmetry_Int_Tables_number 193
_symmetry_space_group_name_Hall '-P 6c 2'
loop_
_atom_site_label
_atom_site_type_symbol
_atom_site_fract_x
_atom_site_fract_y
_atom_site_fract_z
La1 La 0.0000 0.3765 0.2500
Mn1 Mn 0.0000 0.0000 0.0000
P1 P 0.0000 0.2300 0.7500
P2 P 0.3333 0.6667 0.0000
```

Top 10 peaks for 2θ from 15° to 90°, in order of rising 2θ:
d [Å], Position (°2θ), Rel. int.
3.780, 23.53, 16
3.461, 25.74, 100
2.840, 31.50, 20
2.553, 35.15, 51
2.520, 35.62, 58
2.380, 37.79, 54
2.037, 44.47, 27
1.967, 46.14, 19
1.736, 52.73, 22
1.731, 52.91, 14